# 1
LiHF2: simulated powder diffractogram (Cu Ka), based on a cell relaxed with PBE.

The 10 most intense peaks (10 to 90 degrees two-theta), by angle:
Position (°2θ)	Rel. int.	hkl
35.2	9	2 0 -1
35.8	100	1 1 -1
41.4	17	2 0 0
41.5	35	2 0 -2
43.1	20	0 0 2
47.4	48	1 1 1
60.3	11	0 2 0
63.5	10	3 1 -1
63.6	10	3 1 -2
66.1	14	1 1 -3

Atomic structure:
a b c (Å): 5.0950 3.0698 4.9029
angles (deg): 90.00 121.02 90.00
Space group C2/m (No. 12)
Asymmetric unit:
Li: 0.0000 0.0000 0.0000
H: 0.0000 0.0000 0.5000
F: 0.2098 0.0000 0.7507

# 2
Nb3B2Ru5: simulated powder diffractogram (Cu Ka), based on a cell relaxed with PBE.

The 10 most intense peaks (10 to 90 degrees two-theta), by angle:
Position (°2θ)	Rel. int.	hkl
34.1	19	3 2 0
36.5	65	2 1 1
39.2	78	4 1 0
40.2	36	2 2 1
42.5	100	3 1 1
42.6	44	4 2 0
45.7	34	3 2 1
61.4	19	0 0 2
75.3	22	4 1 2
77.9	23	7 1 1

Atomic structure:
a b c (Å): 9.4862 9.4862 3.0197
angles (deg): 90.00 90.00 90.00
Space group P4/mbm (No. 127)
Asymmetric unit:
Nb: 0.0000 0.0000 0.0000
Nb: 0.1762 0.3238 0.0000
B: 0.1218 0.6218 0.0000
Ru: 0.0000 0.5000 0.5000
Ru: 0.0710 0.7810 0.5000